1.
Calculated powder XRD pattern
Compound: CsHg11
Radiation: Cu Kα (λ = 1.5418 Å)
Structure: the PBE geometry in Alexandria
No peak broadening, texture or thermal motion is included.

Structural model:
Lattice parameters (Å, degrees): 10.981 10.981 3.532 90.00 90.00 120.00
Atoms (fractional coordinates):
1 Cs 0.000 0.000 0.000
2 Hg 0.000 0.500 0.000
3 Hg 0.183 0.367 0.500
4 Hg 0.183 0.817 0.500
5 Hg 0.333 0.667 0.000
6 Hg 0.367 0.183 0.500
7 Hg 0.500 0.000 0.000
8 Hg 0.500 0.500 0.000
9 Hg 0.633 0.817 0.500
10 Hg 0.667 0.333 0.000
11 Hg 0.817 0.183 0.500
12 Hg 0.817 0.633 0.500

Top 8 peaks for 2θ = 5–70°, in order of rising 2θ:
| 2theta | d (Å) | Rel. int. |
| --- | --- | --- |
| 30.08 | 2.970 | 24.8 |
| 31.55 | 2.835 | 56.4 |
| 32.62 | 2.745 | 100.0 |
| 35.64 | 2.519 | 36.7 |
| 38.15 | 2.359 | 16.4 |
| 46.02 | 1.972 | 16.6 |
| 57.54 | 1.602 | 16.7 |
| 62.54 | 1.485 | 31.7 |



2.
Calculated powder XRD pattern
Compound: Cs12Hg
Radiation: Cu Kα (λ = 1.5418 Å)
Structure: the PBE geometry in Alexandria
No peak broadening, texture or thermal motion is included.

Structural model:
Lattice parameters (Å, degrees): 12.077 12.077 12.077 109.47 109.47 109.47
Atoms (fractional coordinates):
1 Cs 0.132 0.826 0.306
2 Cs 0.174 0.306 0.480
3 Cs 0.174 0.694 0.868
4 Cs 0.306 0.132 0.826
5 Cs 0.306 0.480 0.174
6 Cs 0.480 0.174 0.306
7 Cs 0.520 0.826 0.694
8 Cs 0.694 0.520 0.826
9 Cs 0.694 0.868 0.174
10 Cs 0.826 0.306 0.132
11 Cs 0.826 0.694 0.520
12 Cs 0.868 0.174 0.694
13 Hg 0.000 0.000 0.000

Top 8 peaks for 2θ = 5–70°, in order of rising 2θ:
| 2theta | d (Å) | Rel. int. |
| --- | --- | --- |
| 20.14 | 4.410 | 100.0 |
| 22.08 | 4.026 | 34.3 |
| 23.88 | 3.727 | 89.3 |
| 37.61 | 2.392 | 49.6 |
| 38.74 | 2.324 | 18.7 |
| 39.85 | 2.262 | 41.0 |
| 46.02 | 1.972 | 20.1 |
| 55.10 | 1.667 | 19.5 |



3.
Calculated powder XRD pattern
Compound: Cs4Hg3
Radiation: Cu Kα (λ = 1.5418 Å)
Structure: the PBE geometry in Alexandria
No peak broadening, texture or thermal motion is included.

Structural model:
Lattice parameters (Å, degrees): 5.491 5.491 17.910 98.48 98.48 59.93
Atoms (fractional coordinates):
1 Cs 0.043 0.043 0.135
2 Cs 0.207 0.207 0.624
3 Cs 0.793 0.793 0.376
4 Cs 0.957 0.957 0.865
5 Hg 0.333 0.333 0.000
6 Hg 0.500 0.500 0.500
7 Hg 0.667 0.667 0.000

Top 8 peaks for 2θ = 5–70°, in order of rising 2θ:
| 2theta | d (Å) | Rel. int. |
| --- | --- | --- |
| 5.01 | 17.649 | 44.2 |
| 10.02 | 8.824 | 100.0 |
| 22.09 | 4.025 | 93.8 |
| 26.40 | 3.376 | 37.6 |
| 28.82 | 3.098 | 28.4 |
| 32.63 | 2.744 | 78.5 |
| 34.19 | 2.623 | 24.9 |
| 34.28 | 2.616 | 19.0 |



4.
Calculated powder XRD pattern
Compound: Cs4Hg3
Radiation: Cu Kα (λ = 1.5418 Å)
Structure: the PBE geometry in Alexandria
No peak broadening, texture or thermal motion is included.

Structural model:
Lattice parameters (Å, degrees): 15.751 15.751 5.674 90.00 90.00 120.00
Atoms (fractional coordinates):
1 Cs 0.016 0.246 0.245
2 Cs 0.136 0.618 0.250
3 Cs 0.230 0.984 0.245
4 Cs 0.246 0.230 0.755
5 Cs 0.382 0.518 0.250
6 Cs 0.482 0.864 0.250
7 Cs 0.518 0.136 0.750
8 Cs 0.618 0.482 0.750
9 Cs 0.754 0.770 0.245
10 Cs 0.770 0.016 0.755
11 Cs 0.864 0.382 0.750
12 Cs 0.984 0.754 0.755
13 Hg 0.000 0.000 0.500
14 Hg 0.167 0.444 0.746
15 Hg 0.277 0.833 0.746
16 Hg 0.333 0.667 0.750
17 Hg 0.444 0.277 0.254
18 Hg 0.556 0.723 0.746
19 Hg 0.667 0.333 0.250
20 Hg 0.723 0.167 0.254
21 Hg 0.833 0.556 0.254

Top 8 peaks for 2θ = 5–70°, in order of rising 2θ:
| 2theta | d (Å) | Rel. int. |
| --- | --- | --- |
| 16.92 | 5.239 | 25.2 |
| 23.31 | 3.816 | 100.0 |
| 25.10 | 3.548 | 53.2 |
| 27.57 | 3.235 | 28.3 |
| 30.02 | 2.977 | 61.7 |
| 31.54 | 2.837 | 28.2 |
| 44.10 | 2.054 | 28.0 |
| 44.44 | 2.038 | 37.6 |